(1)
Starting from a DFT-relaxed cell (GGA-PBE, Alexandria), the powder diffraction line list of SrErZn2Pt2 was computed for Cu Kα, 1.54184 Å.
Neutral-atom scattering factors, no anomalous dispersion.

Main lines, most intense first (2θ from 5° to 70°):
Position (°2θ)	I/Imax
32.86	100
40.64	70
11.45	38
25.88	29
53.22	26
69.05	23

a b c (Å): 4.4398 4.4398 7.7273
angles (deg): 90.00 90.00 120.00
Sites, in units of the cell vectors:
Sr 0.0000 0.0000 0.0000
Er 0.0000 0.0000 0.5000
Zn 0.3333 0.6667 0.7133
Zn 0.6667 0.3333 0.2867
Pt 0.3333 0.6667 0.2965
Pt 0.6667 0.3333 0.7035

=====

(2)
Starting from a DFT-relaxed cell (GGA-PBE, Alexandria), the powder diffraction line list of TmCd4Pd2 was computed for Cu Kα, 1.54184 Å.
Neutral-atom scattering factors, no anomalous dispersion.

Main lines, most intense first (2θ from 5° to 70°):
Position (°2θ)	I/Imax
36.27	100
38.52	57
39.41	34
69.38	34
32.85	29
55.63	16

a b c (Å): 9.7889 9.7889 3.3265
angles (deg): 90.00 90.00 152.99
Sites, in units of the cell vectors:
Tm 0.0000 0.0000 0.0000
Cd 0.1544 0.8456 0.5000
Cd 0.3037 0.6963 0.0000
Cd 0.6963 0.3037 0.0000
Cd 0.8456 0.1544 0.5000
Pd 0.4300 0.5700 0.5000
Pd 0.5700 0.4300 0.5000